Entry 1:
The following is a calculated PXRD pattern of Li2Cr2O7. It was derived from a GGA+U-relaxed structure, using a wavelength of 1.5418 Å.
Peak positions follow from Bragg's law for the DFT cell and can differ from measured ones.

Crystal structure
```
data_Li2Cr2O7
_chemical_formula_sum 'Li8 Cr8 O28'
_cell_length_a 6.108
_cell_length_b 7.322
_cell_length_c 13.941
_cell_angle_alpha 90.00
_cell_angle_beta 107.16
_cell_angle_gamma 90.00
_space_group_name_H-M_alt 'P 1 21/c 1'
_space_group_IT_number 14
_space_group_name_Hall '-P 2ybc'
loop_
_atom_site_label
_atom_site_type_symbol
_atom_site_fract_x
_atom_site_fract_y
_atom_site_fract_z
_atom_site_occupancy
Li1 Li 0.236 0.126 0.167 1
Li2 Li 0.238 0.142 0.909 1
Cr1 Cr 0.272 0.647 0.098 1
Cr2 Cr 0.304 0.729 0.883 1
O1 O 0.067 0.701 0.581 1
O2 O 0.102 0.613 0.364 1
O3 O 0.229 0.024 0.663 1
O4 O 0.268 0.573 0.974 1
O5 O 0.279 0.615 0.781 1
O6 O 0.444 0.167 0.078 1
O7 O 0.472 0.239 0.352 1
```

Principal peaks in the range 2θ from 15° to 90°, by angle:
2θ 15.18, I 8
2θ 19.45, I 100
2θ 24.31, I 14
2θ 24.54, I 9
2θ 26.77, I 33
2θ 28.51, I 15
2θ 29.33, I 33
2θ 30.62, I 27
2θ 31.68, I 8
2θ 35.56, I 10
2θ 36.50, I 16
2θ 48.41, I 6

=====

Entry 2:
The following is a calculated PXRD pattern of Li6Cr2O7. It was derived from a GGA+U-relaxed structure, using a wavelength of 1.5418 Å.
Peak positions follow from Bragg's law for the DFT cell and can differ from measured ones.

Crystal structure
```
data_Li6Cr2O7
_chemical_formula_sum 'Li24 Cr8 O28'
_cell_length_a 9.988
_cell_length_b 5.703
_cell_length_c 9.635
_cell_angle_alpha 90.00
_cell_angle_beta 100.82
_cell_angle_gamma 90.00
_space_group_name_H-M_alt 'C 1 2/c 1'
_space_group_IT_number 15
_space_group_name_Hall '-C 2yc'
loop_
_atom_site_label
_atom_site_type_symbol
_atom_site_fract_x
_atom_site_fract_y
_atom_site_fract_z
_atom_site_occupancy
Li1 Li 0.067 0.145 0.100 1
Li2 Li 0.071 0.401 0.615 1
Li3 Li 0.205 0.127 0.884 1
Cr1 Cr 0.184 0.377 0.369 1
O1 O 0.000 0.348 0.250 1
O2 O 0.123 0.387 0.971 1
O3 O 0.137 0.135 0.502 1
O4 O 0.246 0.119 0.251 1
```

Principal peaks in the range 2θ from 15° to 90°, by angle:
2θ 18.05, I 100
2θ 19.50, I 85
2θ 23.55, I 16
2θ 24.82, I 47
2θ 27.33, I 20
2θ 28.56, I 26
2θ 31.54, I 12
2θ 44.45, I 82
2θ 44.70, I 41
2θ 53.53, I 11
2θ 64.87, I 40
2θ 65.46, I 11

=====

Entry 3:
The following is a calculated PXRD pattern of Li3Cr4O8. It was derived from a GGA+U-relaxed structure, using a wavelength of 1.5418 Å.
Peak positions follow from Bragg's law for the DFT cell and can differ from measured ones.

Crystal structure
```
data_Li3Cr4O8
_chemical_formula_sum 'Li12 Cr16 O32'
_cell_length_a 10.190
_cell_length_b 5.920
_cell_length_c 10.376
_cell_angle_alpha 90.00
_cell_angle_beta 109.16
_cell_angle_gamma 90.00
_space_group_name_H-M_alt 'C 1 2/m 1'
_space_group_IT_number 12
_space_group_name_Hall '-C 2y'
loop_
_atom_site_label
_atom_site_type_symbol
_atom_site_fract_x
_atom_site_fract_y
_atom_site_fract_z
_atom_site_occupancy
Li1 Li 0.001 0.249 0.250 1
Li2 Li 0.249 0.500 0.250 1
Cr1 Cr 0.000 0.000 0.000 1
Cr2 Cr 0.000 0.000 0.500 1
Cr3 Cr 0.000 0.500 0.000 1
Cr4 Cr 0.000 0.500 0.500 1
Cr5 Cr 0.250 0.250 0.000 1
Cr6 Cr 0.250 0.250 0.500 1
O1 O 0.115 0.238 0.608 1
O2 O 0.115 0.260 0.108 1
O3 O 0.123 0.500 0.893 1
O4 O 0.125 0.000 0.393 1
O5 O 0.129 0.500 0.388 1
O6 O 0.130 0.000 0.888 1
```

Principal peaks in the range 2θ from 15° to 90°, by angle:
2θ 18.10, I 100
2θ 35.61, I 24
2θ 35.76, I 12
2θ 37.19, I 6
2θ 43.08, I 46
2θ 43.19, I 23
2θ 47.06, I 7
2θ 56.73, I 14
2θ 62.17, I 12
2θ 62.78, I 6
2θ 63.11, I 12
2θ 66.25, I 9

=====

What did the second record say?
The following is a calculated PXRD pattern of Li6Cr2O7. It was derived from a GGA+U-relaxed structure, using a wavelength of 1.5418 Å.
Peak positions follow from Bragg's law for the DFT cell and can differ from measured ones.

Crystal structure
```
data_Li6Cr2O7
_chemical_formula_sum 'Li24 Cr8 O28'
_cell_length_a 9.988
_cell_length_b 5.703
_cell_length_c 9.635
_cell_angle_alpha 90.00
_cell_angle_beta 100.82
_cell_angle_gamma 90.00
_space_group_name_H-M_alt 'C 1 2/c 1'
_space_group_IT_number 15
_space_group_name_Hall '-C 2yc'
loop_
_atom_site_label
_atom_site_type_symbol
_atom_site_fract_x
_atom_site_fract_y
_atom_site_fract_z
_atom_site_occupancy
Li1 Li 0.067 0.145 0.100 1
Li2 Li 0.071 0.401 0.615 1
Li3 Li 0.205 0.127 0.884 1
Cr1 Cr 0.184 0.377 0.369 1
O1 O 0.000 0.348 0.250 1
O2 O 0.123 0.387 0.971 1
O3 O 0.137 0.135 0.502 1
O4 O 0.246 0.119 0.251 1
```

Principal peaks in the range 2θ from 15° to 90°, by angle:
2θ 18.05, I 100
2θ 19.50, I 85
2θ 23.55, I 16
2θ 24.82, I 47
2θ 27.33, I 20
2θ 28.56, I 26
2θ 31.54, I 12
2θ 44.45, I 82
2θ 44.70, I 41
2θ 53.53, I 11
2θ 64.87, I 40
2θ 65.46, I 11